Diffraction record for Ba2EuWO6. The XRD peak list is computed, not measured: it uses a cell relaxed with GGA+U and Cu Kα X-rays.
Neutral-atom scattering factors, no anomalous dispersion.

Principal peaks in the range 10° ≤ 2θ ≤ 80°, in order of rising 2θ:
hkl, 2theta, intensity
1 1 1, 17.7, 1
2 0 0, 20.5, 4
2 2 0, 29.1, 100
4 0 0, 41.6, 27
4 2 0, 46.8, 2
4 2 2, 51.6, 42
4 4 0, 60.3, 17
4 4 2, 64.4, 1
6 2 0, 68.3, 19
4 4 4, 75.9, 5

Cell lengths 8.6823, 8.6823, 8.6823 Å; angles 90.00, 90.00, 90.00 degrees
Positions (direct):
Ba (0.2500, 0.2500, 0.2500)
Ba (0.2500, 0.2500, 0.7500)
Ba (0.2500, 0.7500, 0.2500)
Ba (0.2500, 0.7500, 0.7500)
Ba (0.7500, 0.2500, 0.2500)
Ba (0.7500, 0.2500, 0.7500)
Ba (0.7500, 0.7500, 0.2500)
Ba (0.7500, 0.7500, 0.7500)
Eu (0.0000, 0.0000, 0.0000)
Eu (0.0000, 0.5000, 0.5000)
Eu (0.5000, 0.0000, 0.5000)
Eu (0.5000, 0.5000, 0.0000)
W (0.0000, 0.0000, 0.5000)
W (0.0000, 0.5000, 0.0000)
W (0.5000, 0.0000, 0.0000)
W (0.5000, 0.5000, 0.5000)
O (0.0232, 0.5286, 0.7746)
O (0.0232, 0.9714, 0.7254)
O (0.0286, 0.2254, 0.5232)
O (0.0286, 0.2746, 0.9768)
O (0.2254, 0.5232, 0.0286)
O (0.2254, 0.9768, 0.4714)
O (0.2746, 0.5232, 0.4714)
O (0.2746, 0.9768, 0.0286)
O (0.4714, 0.2254, 0.9768)
O (0.4714, 0.2746, 0.5232)
O (0.4768, 0.5286, 0.7254)
O (0.4768, 0.9714, 0.7746)
O (0.5232, 0.0286, 0.2254)
O (0.5232, 0.4714, 0.2746)
O (0.5286, 0.7254, 0.4768)
O (0.5286, 0.7746, 0.0232)
O (0.7254, 0.0232, 0.9714)
O (0.7254, 0.4768, 0.5286)
O (0.7746, 0.0232, 0.5286)
O (0.7746, 0.4768, 0.9714)
O (0.9714, 0.7254, 0.0232)
O (0.9714, 0.7746, 0.4768)
O (0.9768, 0.0286, 0.2746)
O (0.9768, 0.4714, 0.2254)